Record 1
The following is a theoretical powder diffraction line list of AcCe3P4. It was derived from DFT lattice parameters and positions (PBE), using Cu Ka.
No peak broadening, texture or thermal motion is included.

```
data_AcCe3P4
_cell_length_a 8.380
_cell_length_b 11.843
_cell_length_c 4.183
_cell_angle_alpha 90.00
_cell_angle_beta 90.00
_cell_angle_gamma 90.00
_space_group_name_H-M_alt 'C m m m'
_space_group_IT_number 65
_space_group_name_Hall '-C 2 2'
loop_
_atom_site_label
_atom_site_type_symbol
_atom_site_fract_x
_atom_site_fract_y
_atom_site_fract_z
_atom_site_occupancy
Ac1 Ac 0.000 0.000 0.000 1
Ce1 Ce 0.000 0.500 0.000 1
Ce2 Ce 0.250 0.250 0.500 1
P1 P 0.000 0.258 0.000 1
P2 P 0.234 0.500 0.500 1
```

Peak list (10 most intense, 2θ = 5–70°, low angle first)
2theta, Rel. int., index
12.9, 4, 1 1 0
24.9, 4, 1 1 1
26.1, 87, 2 2 0
30.2, 100, 2 0 1
43.2, 74, 0 0 2
51.2, 44, 4 2 1
53.6, 26, 0 4 2
62.8, 12, 4 0 2
69.1, 15, 6 2 0
69.2, 3, 0 2 3

---

Record 2
The following is a theoretical powder diffraction line list of BaCa3. It was derived from DFT lattice parameters and positions (PBE), using Cu Ka.
No peak broadening, texture or thermal motion is included.

```
data_BaCa3
_cell_length_a 4.140
_cell_length_b 4.140
_cell_length_c 21.977
_cell_angle_alpha 90.00
_cell_angle_beta 90.00
_cell_angle_gamma 90.00
_space_group_name_H-M_alt 'P 4/n m m'
_space_group_IT_number 129
loop_
_space_group_symop_operation_xyz
'x,y,z'
'-x,-y,-z'
'-y+1/2,x,z'
'y+1/2,-x,-z'
'-x+1/2,-y+1/2,z'
'x+1/2,y+1/2,-z'
'y,-x+1/2,z'
'-y,x+1/2,-z'
'x+1/2,-y,-z'
'-x+1/2,y,z'
'-y,-x,-z'
'y,x,z'
'-x,y+1/2,-z'
'x,-y+1/2,z'
'y+1/2,x+1/2,-z'
'-y+1/2,-x+1/2,z'
loop_
_atom_site_label
_atom_site_type_symbol
_atom_site_fract_x
_atom_site_fract_y
_atom_site_fract_z
_atom_site_occupancy
Ba1 Ba 0.250 0.250 0.079 1
Ca1 Ca 0.250 0.250 0.330 1
Ca2 Ca 0.250 0.250 0.557 1
Ca3 Ca 0.250 0.250 0.784 1
```

Peak list (10 most intense, 2θ = 5–70°, low angle first)
2theta, Rel. int., index
8.0, 11, 0 0 2
23.0, 19, 1 0 2
24.7, 36, 1 0 3
27.0, 100, 1 0 4
30.5, 44, 1 1 0
39.4, 14, 1 1 6
42.2, 12, 1 1 7
43.7, 16, 2 0 0
45.3, 11, 1 1 8
52.1, 30, 2 1 4

---

Record 3
The following is a theoretical powder diffraction line list of Pm5Pt6. It was derived from DFT lattice parameters and positions (PBE), using Cu Ka.
No peak broadening, texture or thermal motion is included.

```
data_Pm5Pt6
_cell_length_a 4.369
_cell_length_b 30.048
_cell_length_c 3.952
_cell_angle_alpha 90.00
_cell_angle_beta 90.00
_cell_angle_gamma 90.00
_space_group_name_H-M_alt 'C m m m'
_space_group_IT_number 65
_space_group_name_Hall '-C 2 2'
loop_
_atom_site_label
_atom_site_type_symbol
_atom_site_fract_x
_atom_site_fract_y
_atom_site_fract_z
_atom_site_occupancy
Pm1 Pm 0.000 0.000 0.000 1
Pm2 Pm 0.000 0.199 0.500 1
Pm3 Pm 0.000 0.382 0.000 1
Pt1 Pt 0.000 0.099 0.500 1
Pt2 Pt 0.000 0.282 0.000 1
Pt3 Pt 0.000 0.457 0.500 1
```

Peak list (10 most intense, 2θ = 5–70°, low angle first)
2theta, Rel. int., index
29.7, 13, 0 10 0
31.8, 100, 1 3 1
32.9, 20, 0 8 1
37.1, 19, 1 7 1
38.9, 40, 1 11 0
41.0, 51, 1 9 1
41.3, 33, 2 0 0
45.9, 24, 0 0 2
61.7, 22, 1 11 2
63.5, 18, 2 0 2

---

Record 4
The following is a theoretical powder diffraction line list of CaY. It was derived from DFT lattice parameters and positions (PBE), using Cu Ka.
No peak broadening, texture or thermal motion is included.

```
data_CaY
_cell_length_a 5.994
_cell_length_b 3.694
_cell_length_c 6.586
_cell_angle_alpha 90.00
_cell_angle_beta 90.00
_cell_angle_gamma 90.00
_space_group_name_H-M_alt 'P m m a'
_space_group_IT_number 51
loop_
_space_group_symop_operation_xyz
'x,y,z'
'-x,-y,-z'
'-x+1/2,-y,z'
'x+1/2,y,-z'
'x+1/2,-y,-z'
'-x+1/2,y,z'
'-x,y,-z'
'x,-y,z'
loop_
_atom_site_label
_atom_site_type_symbol
_atom_site_fract_x
_atom_site_fract_y
_atom_site_fract_z
_atom_site_occupancy
Ca1 Ca 0.250 0.000 0.168 1
Y1 Y 0.250 0.500 0.652 1
```

Peak list (10 most intense, 2θ = 5–70°, low angle first)
2theta, Rel. int., index
20.0, 17, 1 0 1
27.7, 31, 0 1 1
29.8, 42, 2 0 0
31.0, 63, 1 0 2
31.5, 100, 1 1 1
41.1, 22, 2 1 1
48.2, 20, 0 1 3
54.0, 20, 3 1 1
57.7, 22, 2 1 3
59.4, 18, 1 2 2